[1]
This entry pairs a crystal structure of Zn6Co with its theoretical X-ray powder pattern. Radiation: Cu Kα (λ = 1.5418 Å). Structure: a DFT-relaxed cell (GGA-PBE, OQMD).
Peak positions follow from Bragg's law for the DFT cell and can differ from measured ones.

Main lines, most intense first (2θ from 10° to 80°):
Position (°2θ)	Rel. int.
42.26	100
49.19	47
72.12	28
20.77	11
24.02	9
34.23	7

Structural model:
Lattice parameters (Å, degrees): 5.239 5.239 5.239 60.00 60.00 60.00
Atoms (fractional coordinates):
Zn 0.000 0.000 0.500
Zn 0.000 0.500 0.000
Zn 0.000 0.500 0.500
Zn 0.500 0.000 0.000
Zn 0.500 0.000 0.500
Zn 0.500 0.500 0.000
Co 0.000 0.000 0.000


[2]
This entry pairs a crystal structure of Zn3Co with its theoretical X-ray powder pattern. Radiation: Cu Kα (λ = 1.5418 Å). Structure: a DFT-relaxed cell (GGA-PBE, OQMD).
Peak positions follow from Bragg's law for the DFT cell and can differ from measured ones.

Main lines, most intense first (2θ from 10° to 80°):
Position (°2θ)	Rel. int.
42.49	100
49.34	63
42.06	34
72.05	19
72.66	18

Structural model:
Lattice parameters (Å, degrees): 5.205 5.205 6.445 90.00 90.00 120.00
Atoms (fractional coordinates):
Zn 0.000 0.500 0.000
Zn 0.167 0.333 0.333
Zn 0.167 0.833 0.333
Zn 0.333 0.167 0.667
Zn 0.500 0.000 0.000
Zn 0.500 0.500 0.000
Zn 0.667 0.833 0.333
Zn 0.833 0.167 0.667
Zn 0.833 0.667 0.667
Co 0.000 0.000 0.001
Co 0.333 0.667 0.665
Co 0.667 0.333 0.334


[3]
This entry pairs a crystal structure of Zn2Co9 with its theoretical X-ray powder pattern. Radiation: Cu Kα (λ = 1.5418 Å). Structure: a DFT-relaxed cell (GGA-PBE, OQMD).
Peak positions follow from Bragg's law for the DFT cell and can differ from measured ones.

Main lines, most intense first (2θ from 10° to 80°):
Position (°2θ)	Rel. int.
44.86	100
43.96	73
52.82	47
76.63	44
51.20	43
10.10	21

Structural model:
Lattice parameters (Å, degrees): 2.487 2.487 35.044 90.00 90.00 120.00
Atoms (fractional coordinates):
Zn 0.333 0.667 0.292
Zn 0.667 0.333 0.708
Co 0.000 0.000 0.000
Co 0.000 0.000 0.171
Co 0.000 0.000 0.829
Co 0.333 0.667 0.114
Co 0.333 0.667 0.773
Co 0.333 0.667 0.943
Co 0.667 0.333 0.057
Co 0.667 0.333 0.227
Co 0.667 0.333 0.886


[4]
This entry pairs a crystal structure of Zn4Co3 with its theoretical X-ray powder pattern. Radiation: Cu Kα (λ = 1.5418 Å). Structure: a DFT-relaxed cell (GGA-PBE, OQMD).
Peak positions follow from Bragg's law for the DFT cell and can differ from measured ones.

Main lines, most intense first (2θ from 10° to 80°):
Position (°2θ)	Rel. int.
45.67	100
43.08	27
39.99	25
72.63	15
60.23	14
33.65	2

Structural model:
Lattice parameters (Å, degrees): 6.888 6.888 4.200 90.00 90.00 120.00
Atoms (fractional coordinates):
Zn 0.043 0.247 0.250
Zn 0.204 0.957 0.250
Zn 0.247 0.204 0.750
Zn 0.333 0.667 0.250
Zn 0.667 0.333 0.750
Zn 0.753 0.796 0.250
Zn 0.796 0.043 0.750
Zn 0.957 0.753 0.750
Co 0.101 0.486 0.750
Co 0.385 0.899 0.750
Co 0.486 0.385 0.250
Co 0.514 0.615 0.750
Co 0.615 0.101 0.250
Co 0.899 0.514 0.250


Which formula does entry 2 have?
Zn3Co